Pr3ScTl: theoretical PXRD pattern (Cu Kα (λ = 1.5418 Å)), based on a cell relaxed with PBE.
Peak positions follow from Bragg's law for the DFT cell and can differ from measured ones.

Peak list (8 most intense, 2θ from 15° to 90°, most intense first)
2θ/deg, d/Å, Rel. int.
29.5, 3.032, 100
34.9, 2.572, 62
28.8, 3.100, 60
32.6, 2.748, 43
34.5, 2.601, 41
53.7, 1.708, 32
29.9, 2.985, 28
35.6, 2.521, 27

Crystal structure
```
Pr3ScTl
1.0
5.062 -6.062 0.000
5.062 6.062 0.000
0.000 0.000 10.289
Pr Sc Tl
12 4 4
Direct
0.065 0.935 0.868
0.069 0.319 0.577
0.181 0.431 0.923
0.319 0.069 0.423
0.431 0.181 0.077
0.435 0.565 0.368
0.565 0.435 0.632
0.569 0.819 0.923
0.681 0.931 0.577
0.819 0.569 0.077
0.931 0.681 0.423
0.935 0.065 0.132
0.103 0.397 0.250
0.397 0.103 0.750
0.603 0.897 0.250
0.897 0.603 0.750
0.221 0.779 0.158
0.279 0.721 0.658
0.721 0.279 0.342
0.779 0.221 0.842
```


K3Dy2ThSe6: theoretical PXRD pattern (Cu Kα (λ = 1.5418 Å)), based on a cell relaxed with PBE.
Peak positions follow from Bragg's law for the DFT cell and can differ from measured ones.

Peak list (8 most intense, 2θ from 15° to 90°, most intense first)
2θ/deg, d/Å, Rel. int.
28.9, 3.094, 100
39.7, 2.270, 24
42.8, 2.113, 24
36.6, 2.456, 20
24.6, 3.612, 16
59.8, 1.547, 13
39.6, 2.277, 12
52.5, 1.742, 12

Crystal structure
```
K3Dy2ThSe6
1.0
9.839 -2.108 0.000
9.839 2.108 0.000
-3.045 0.000 8.638
K Dy Th Se
3 2 1 6
Direct
0.000 0.000 0.000
0.333 0.333 0.669
0.667 0.667 0.331
0.331 0.331 0.162
0.669 0.669 0.838
0.000 0.000 0.500
0.158 0.158 0.609
0.176 0.176 0.059
0.490 0.490 0.265
0.510 0.510 0.735
0.824 0.824 0.941
0.842 0.842 0.391
```


NdPaCdO6: theoretical PXRD pattern (Cu Kα (λ = 1.5418 Å)), based on a cell relaxed with PBE.
Peak positions follow from Bragg's law for the DFT cell and can differ from measured ones.

Peak list (8 most intense, 2θ from 15° to 90°, most intense first)
2θ/deg, d/Å, Rel. int.
25.5, 3.494, 100
31.0, 2.886, 46
48.8, 1.865, 38
40.5, 2.225, 30
51.9, 1.762, 29
55.1, 1.666, 15
70.6, 1.334, 12
17.7, 4.999, 10

Crystal structure
```
NdPaCdO6
1.0
5.773 0.000 0.000
-2.886 4.999 0.000
0.000 0.000 4.885
Nd Pa Cd O
1 1 1 6
Direct
0.000 0.000 0.000
0.667 0.333 0.500
0.333 0.667 0.000
0.362 0.019 0.251
0.362 0.342 0.749
0.658 0.019 0.749
0.658 0.638 0.251
0.981 0.342 0.251
0.981 0.638 0.749
```